No. 1
The following is a computed powder diffractogram of Pr2Ti2O7. It was derived from a GGA-PBE-relaxed structure, using Cu Kα, 1.54184 Å.

Peak list (8 most intense, 5° ≤ 2θ ≤ 70°, by intensity)
(2 1 -2), 2θ = 29.91°, d = 2.987 Å, rel. 100.0
(2 1 -3), 2θ = 32.93°, d = 2.720 Å, rel. 58.0
(0 0 4), 2θ = 27.12°, d = 3.288 Å, rel. 50.8
(0 1 2), 2θ = 20.92°, d = 4.246 Å, rel. 49.1
(4 0 -1), 2θ = 46.93°, d = 1.936 Å, rel. 44.9
(0 2 0), 2θ = 32.20°, d = 2.780 Å, rel. 35.1
(2 1 0), 2θ = 28.29°, d = 3.155 Å, rel. 28.1
(0 1 4), 2θ = 31.61°, d = 2.830 Å, rel. 26.8

Structure:
Unit cell a=7.7442 b=5.5602 c=13.2988 alpha=90.00 beta=98.47 gamma=90.00
Space group P2_1 (No. 4)
Unique sites:
Pr (0.1459, 0.0000, 0.0712) (multiplicity 2)
Pr (0.2299, 0.6022, 0.4118) (multiplicity 2)
Pr (0.2814, 0.1136, 0.6215) (multiplicity 2)
Pr (0.3502, 0.5697, 0.8816) (multiplicity 2)
Ti (0.0317, 0.5972, 0.6206) (multiplicity 2)
Ti (0.0702, 0.0690, 0.8203) (multiplicity 2)
Ti (0.4159, 0.5602, 0.1741) (multiplicity 2)
Ti (0.4719, 0.0992, 0.3768) (multiplicity 2)
O (0.0223, 0.9161, 0.6831) (multiplicity 2)
O (0.0438, 0.3444, 0.5203) (multiplicity 2)
O (0.0775, 0.8030, 0.9053) (multiplicity 2)
O (0.1161, 0.4041, 0.7277) (multiplicity 2)
O (0.1298, 0.2860, 0.9278) (multiplicity 2)
O (0.1738, 0.6618, 0.1937) (multiplicity 2)
O (0.2225, 0.0477, 0.3899) (multiplicity 2)
O (0.2730, 0.6907, 0.5926) (multiplicity 2)
O (0.3278, 0.0076, 0.8064) (multiplicity 2)
O (0.3737, 0.2791, 0.1119) (multiplicity 2)
O (0.4097, 0.7694, 0.0594) (multiplicity 2)
O (0.4322, 0.4196, 0.3186) (multiplicity 2)
O (0.4671, 0.3450, 0.5224) (multiplicity 2)
O (0.4971, 0.4086, 0.7307) (multiplicity 2)

=====

No. 2
The following is a computed powder diffractogram of Rb3Os. It was derived from a GGA-PBE-relaxed structure, using Cu Kα, 1.54184 Å.

Peak list (8 most intense, 5° ≤ 2θ ≤ 70°, by intensity)
(2 2 0), 2θ = 28.99°, d = 3.080 Å, rel. 100.0
(4 2 2), 2θ = 51.39°, d = 1.778 Å, rel. 40.1
(4 0 0), 2θ = 41.46°, d = 2.178 Å, rel. 18.8
(6 2 0), 2θ = 68.07°, d = 1.377 Å, rel. 17.3
(4 4 0), 2θ = 60.08°, d = 1.540 Å, rel. 12.6
(1 1 1), 2θ = 17.63°, d = 5.029 Å, rel. 10.4
(3 1 1), 2θ = 34.14°, d = 2.627 Å, rel. 6.4
(2 0 0), 2θ = 20.39°, d = 4.356 Å, rel. 5.6

Structure:
Unit cell a=8.7112 b=8.7112 c=8.7112 alpha=90.00 beta=90.00 gamma=90.00
Space group Fm-3m (No. 225)
Unique sites:
Rb (0.0000, 0.0000, 0.0000) (multiplicity 4)
Rb (0.2500, 0.2500, 0.2500) (multiplicity 8)
Os (0.0000, 0.0000, 0.5000) (multiplicity 4)

=====

No. 3
The following is a computed powder diffractogram of VGa2FeCo4. It was derived from a GGA-PBE-relaxed structure, using Cu Kα, 1.54184 Å.

Peak list (4 most intense, 5° ≤ 2θ ≤ 70°, by intensity)
(1 1 0), 2θ = 44.62°, d = 2.031 Å, rel. 100.0
(2 0 8), 2θ = 64.94°, d = 1.436 Å, rel. 15.0
(0 1 2), 2θ = 26.88°, d = 3.317 Å, rel. 1.4
(2 0 2), 2θ = 52.84°, d = 1.733 Å, rel. 0.6

Structure:
Unit cell a=4.0657 b=4.0657 c=19.8618 alpha=90.00 beta=90.00 gamma=120.00
Space group R-3m (No. 166, hexagonal axes)
Unique sites:
V (0.0000, 0.0000, 0.0000) (multiplicity 3)
Ga (0.0000, 0.0000, 0.2497) (multiplicity 6)
Fe (0.0000, 0.0000, 0.5000) (multiplicity 3)
Co (0.0000, 0.0000, 0.1244) (multiplicity 6)
Co (0.0000, 0.0000, 0.3741) (multiplicity 6)

=====

No. 4
The following is a computed powder diffractogram of PrBPt4. It was derived from a GGA-PBE-relaxed structure, using Cu Kα, 1.54184 Å.

Peak list (8 most intense, 5° ≤ 2θ ≤ 70°, by intensity)
(1 1 2), 2θ = 40.18°, d = 2.244 Å, rel. 100.0
(2 0 0), 2θ = 37.62°, d = 2.391 Å, rel. 93.2
(2 0 2), 2θ = 44.60°, d = 2.032 Å, rel. 53.7
(0 0 3), 2θ = 34.91°, d = 2.570 Å, rel. 42.7
(2 2 0), 2θ = 67.91°, d = 1.380 Å, rel. 37.0
(1 1 1), 2θ = 34.51°, d = 2.599 Å, rel. 36.7
(1 0 2), 2θ = 29.77°, d = 3.001 Å, rel. 34.9
(2 0 1), 2θ = 39.46°, d = 2.283 Å, rel. 32.0

Structure:
Unit cell a=5.5210 b=5.5210 c=7.7097 alpha=90.00 beta=90.00 gamma=120.00
Space group P6/mmm (No. 191)
Unique sites:
Pr (0.0000, 0.0000, 0.0000) (multiplicity 1)
Pr (0.0000, 0.0000, 0.5000) (multiplicity 1)
B (0.3333, 0.6667, 0.0000) (multiplicity 2)
Pt (0.0000, 0.5000, 0.1991) (multiplicity 6)
Pt (0.3333, 0.6667, 0.5000) (multiplicity 2)

=====

No. 5
The following is a computed powder diffractogram of CuAs2PbO7. It was derived from a GGA-PBE-relaxed structure, using Cu Kα, 1.54184 Å.

Peak list (8 most intense, 5° ≤ 2θ ≤ 70°, by intensity)
(1 0 2), 2θ = 25.08°, d = 3.551 Å, rel. 100.0
(1 2 -2), 2θ = 27.17°, d = 3.282 Å, rel. 75.1
(1 2 -1), 2θ = 26.11°, d = 3.413 Å, rel. 67.2
(2 0 -2), 2θ = 31.39°, d = 2.850 Å, rel. 63.3
(0 0 2), 2θ = 13.41°, d = 6.605 Å, rel. 62.3
(0 2 3), 2θ = 29.19°, d = 3.059 Å, rel. 57.2
(1 1 -4), 2θ = 28.11°, d = 3.175 Å, rel. 56.6
(1 2 -3), 2θ = 29.76°, d = 3.002 Å, rel. 38.5

Structure:
Unit cell a=5.7039 b=8.5101 c=14.1954 alpha=90.00 beta=111.48 gamma=90.00
Space group P2_1/c (No. 14)
Unique sites:
Cu (0.1761, 0.1348, 0.3824) (multiplicity 4)
As (0.0924, 0.5263, 0.3406) (multiplicity 4)
As (0.1656, 0.6893, 0.9927) (multiplicity 4)
Pb (0.4787, 0.6830, 0.7736) (multiplicity 4)
O (0.0029, 0.6633, 0.6541) (multiplicity 4)
O (0.1385, 0.1500, 0.5150) (multiplicity 4)
O (0.1723, 0.6037, 0.4644) (multiplicity 4)
O (0.1740, 0.1204, 0.2394) (multiplicity 4)
O (0.2195, 0.5965, 0.8944) (multiplicity 4)
O (0.3447, 0.5464, 0.3051) (multiplicity 4)
O (0.4055, 0.6751, 0.1062) (multiplicity 4)

=====

No. 6
The following is a computed powder diffractogram of Li2Sb. It was derived from a GGA-PBE-relaxed structure, using Cu Kα, 1.54184 Å.

Peak list (8 most intense, 5° ≤ 2θ ≤ 70°, by intensity)
(1 1 0), 2θ = 22.36°, d = 3.976 Å, rel. 100.0
(1 0 2), 2θ = 30.15°, d = 2.964 Å, rel. 42.0
(2 1 2), 2θ = 44.41°, d = 2.040 Å, rel. 30.4
(3 0 0), 2θ = 39.25°, d = 2.295 Å, rel. 28.6
(2 0 2), 2θ = 37.86°, d = 2.376 Å, rel. 25.1
(2 2 0), 2θ = 45.64°, d = 1.988 Å, rel. 15.1
(3 1 2), 2θ = 55.67°, d = 1.651 Å, rel. 13.9
(4 1 0), 2θ = 61.73°, d = 1.503 Å, rel. 12.2

Structure:
Unit cell a=7.9514 b=7.9514 c=6.5684 alpha=90.00 beta=90.00 gamma=120.00
Space group P-62c (No. 190)
Unique sites:
Li (0.0000, 0.2910, 0.0000) (multiplicity 6)
Li (0.0099, 0.6373, 0.2500) (multiplicity 6)
Sb (0.0000, 0.0000, 0.2500) (multiplicity 2)
Sb (0.3333, 0.6667, 0.5238) (multiplicity 4)

=====

No. 7
The following is a computed powder diffractogram of LiTb5Sn3. It was derived from a GGA-PBE-relaxed structure, using Cu Kα, 1.54184 Å.

Peak list (8 most intense, 5° ≤ 2θ ≤ 70°, by intensity)
(1 1 2), 2θ = 33.24°, d = 2.696 Å, rel. 100.0
(3 0 0), 2θ = 33.56°, d = 2.670 Å, rel. 84.9
(2 1 1), 2θ = 32.51°, d = 2.754 Å, rel. 60.4
(2 2 2), 2θ = 47.96°, d = 1.897 Å, rel. 27.8
(3 0 4), 2θ = 66.34°, d = 1.409 Å, rel. 24.1
(2 1 0), 2θ = 29.50°, d = 3.027 Å, rel. 18.3
(2 1 3), 2θ = 51.15°, d = 1.786 Å, rel. 17.1
(4 1 2), 2θ = 59.81°, d = 1.546 Å, rel. 16.3

Structure:
Unit cell a=9.2490 b=9.2490 c=6.6349 alpha=90.00 beta=90.00 gamma=120.00
Space group P6_3/mcm (No. 193)
Unique sites:
Li (0.0000, 0.0000, 0.0000) (multiplicity 2)
Tb (0.0000, 0.2766, 0.2500) (multiplicity 6)
Tb (0.3333, 0.6667, 0.0000) (multiplicity 4)
Sn (0.0000, 0.3778, 0.7500) (multiplicity 6)

=====

No. 8
The following is a computed powder diffractogram of GdSi2. It was derived from a GGA-PBE-relaxed structure, using Cu Kα, 1.54184 Å.

Peak list (8 most intense, 5° ≤ 2θ ≤ 70°, by intensity)
(1 0 1), 2θ = 33.71°, d = 2.659 Å, rel. 100.0
(1 0 0), 2θ = 25.20°, d = 3.534 Å, rel. 48.9
(1 1 0), 2θ = 44.39°, d = 2.041 Å, rel. 30.7
(2 0 1), 2θ = 56.88°, d = 1.619 Å, rel. 22.2
(1 1 2), 2θ = 64.99°, d = 1.435 Å, rel. 19.7
(1 0 2), 2θ = 52.19°, d = 1.753 Å, rel. 13.9
(0 0 1), 2θ = 22.02°, d = 4.037 Å, rel. 12.8
(0 0 2), 2θ = 44.91°, d = 2.018 Å, rel. 9.9

Structure:
Unit cell a=4.0812 b=4.0812 c=4.0366 alpha=90.00 beta=90.00 gamma=120.00
Space group P6/mmm (No. 191)
Unique sites:
Gd (0.0000, 0.0000, 0.0000) (multiplicity 1)
Si (0.3333, 0.6667, 0.5000) (multiplicity 2)

=====

No. 9
The following is a computed powder diffractogram of ZrMnNi. It was derived from a GGA-PBE-relaxed structure, using Cu Kα, 1.54184 Å.

Peak list (8 most intense, 5° ≤ 2θ ≤ 70°, by intensity)
(2 1 1), 2θ = 42.30°, d = 2.137 Å, rel. 100.0
(0 2 0), 2θ = 35.86°, d = 2.504 Å, rel. 65.6
(0 1 3), 2θ = 42.38°, d = 2.133 Å, rel. 49.6
(0 2 2), 2θ = 44.30°, d = 2.045 Å, rel. 39.7
(2 3 1), 2θ = 68.82°, d = 1.364 Å, rel. 27.4
(0 1 5), 2θ = 68.99°, d = 1.361 Å, rel. 15.8
(2 0 4), 2θ = 64.49°, d = 1.445 Å, rel. 15.0
(1 3 2), 2θ = 64.36°, d = 1.447 Å, rel. 7.5

Structure:
Unit cell a=5.0069 b=5.0181 c=7.0704 alpha=90.00 beta=90.00 gamma=90.00
Space group Imma (No. 74)
Unique sites:
Zr (0.0000, 0.2500, 0.1263) (multiplicity 4)
Mn (0.0000, 0.0000, 0.5000) (multiplicity 4)
Ni (0.2500, 0.2500, 0.7500) (multiplicity 4)

=====

No. 10
The following is a computed powder diffractogram of BaLaEuZnO5. It was derived from a GGA-PBE-relaxed structure, using Cu Kα, 1.54184 Å.

Peak list (8 most intense, 5° ≤ 2θ ≤ 70°, by intensity)
(2 2 2), 2θ = 30.26°, d = 2.954 Å, rel. 100.0
(4 0 0), 2θ = 37.28°, d = 2.412 Å, rel. 30.4
(0 0 4), 2θ = 30.62°, d = 2.919 Å, rel. 30.1
(3 1 3), 2θ = 37.44°, d = 2.402 Å, rel. 22.9
(1 3 1), 2θ = 30.06°, d = 2.973 Å, rel. 18.3
(4 0 4), 2θ = 48.99°, d = 1.859 Å, rel. 16.2
(2 2 6), 2θ = 54.20°, d = 1.692 Å, rel. 16.0
(4 4 2), 2θ = 55.98°, d = 1.643 Å, rel. 13.9

Structure:
Unit cell a=9.6445 b=9.7309 c=11.6778 alpha=90.00 beta=90.00 gamma=90.00
Space group Fmmm (No. 69)
Unique sites:
Ba (0.2500, 0.2500, 0.2500) (multiplicity 8)
La (0.0000, 0.1758, 0.0000) (multiplicity 8)
Eu (0.1748, 0.0000, 0.5000) (multiplicity 8)
Zn (0.0000, 0.0000, 0.2502) (multiplicity 8)
O (0.0000, 0.1450, 0.3674) (multiplicity 16)
O (0.1461, 0.0000, 0.1315) (multiplicity 16)
O (0.2500, 0.2500, 0.0000) (multiplicity 8)

=====

What is the formula in the fourth record? PrBPt4